# 1
Theoretical powder diffraction line list of InGa2SBr for Cu Kα (weighted mean of Kα1 and Kα2), from a crystal structure in Alexandria, relaxed with PBE.

a = 5.598 Å, b = 5.598 Å, c = 5.954 Å
α = 90.00°, β = 90.00°, γ = 90.00°
Space group P4/mmm (No. 123)
Unique sites:
In 0.000 0.000 0.000 (multiplicity 1)
Ga 0.000 0.500 0.500 (multiplicity 2)
S 0.500 0.500 0.000 (multiplicity 1)
Br 0.000 0.000 0.500 (multiplicity 1)

Largest 10 diffraction maxima, by angle, 2θ from 10° to 90°:
index	2theta	I (rel.)
1 0 0	15.8	100.0
1 1 1	27.1	97.4
0 0 2	30.0	57.8
2 0 0	32.0	97.5
1 0 2	34.1	31.3
2 1 0	35.9	27.3
2 0 2	44.4	76.4
2 2 0	45.9	34.8
3 1 1	54.0	26.8
2 2 2	55.8	38.0

=====

# 2
Theoretical powder diffraction line list of KPmAu2I6 for Cu Kα (weighted mean of Kα1 and Kα2), from a crystal structure in Alexandria, relaxed with PBE.

a = 7.965 Å, b = 7.971 Å, c = 9.483 Å
α = 65.22°, β = 65.24°, γ = 60.03°
Space group P-1 (No. 2)
Unique sites:
K 0.000 0.000 0.000 (multiplicity 1)
Pm 0.500 0.500 0.500 (multiplicity 1)
Au 0.237 0.237 0.288 (multiplicity 2)
I 0.110 0.739 0.724 (multiplicity 2)
I 0.262 0.572 0.275 (multiplicity 2)
I 0.428 0.110 0.725 (multiplicity 2)

Largest 10 diffraction maxima, by angle, 2θ from 10° to 90°:
index	2theta	I (rel.)
0 0 1	10.7	26.5
1 1 2	19.2	64.9
0 0 2	21.4	42.8
1 2 0	24.8	100.0
0 2 2	29.6	25.1
3 2 3	37.4	28.0
3 3 2	39.2	59.9
1 2 4	39.7	21.9
3 3 4	45.1	34.0
3 3 6	60.0	19.5

=====

Q: Which formula does entry 2 have?
A: KPmAu2I6